Calculated XRD peak list of CaLa2YMn for λ = 1.5418 Å (Cu Kα), from DFT lattice parameters and positions (GGA-PBE).
Intensities are scaled so that the largest is 100.

Largest 10 diffraction maxima, by angle, 10 to 90 degrees two-theta:
d/Å	I (rel.)
5.653	32
5.334	17
3.137	100
2.826	33
2.667	56
1.940	43
1.886	22
1.686	17
1.616	28
1.569	21

Crystal structure
a b c (Å): 5.334 5.334 5.653
angles (deg): 90.00 90.00 90.00
Positions (direct):
Ca1 0.000 0.000 0.000
La1 0.000 0.500 0.500
La2 0.500 0.000 0.500
Y1 0.500 0.500 0.000
Mn1 0.500 0.500 0.500


Calculated XRD peak list of Ca2LaMo for λ = 1.5418 Å (Cu Kα), from DFT lattice parameters and positions (GGA-PBE).
Intensities are scaled so that the largest is 100.

Largest 10 diffraction maxima, by angle, 10 to 90 degrees two-theta:
d/Å	I (rel.)
8.411	100
4.205	21
3.588	12
2.804	21
2.762	9
2.624	52
2.335	12
2.308	36
1.794	11
1.673	14

Crystal structure
a b c (Å): 3.425 4.669 16.822
angles (deg): 90.00 90.00 90.00
Positions (direct):
Ca1 0.000 0.000 0.166
Ca2 0.000 0.000 0.834
Ca3 0.500 0.500 0.334
Ca4 0.500 0.500 0.666
La1 0.000 0.500 0.000
La2 0.500 0.000 0.500
Mo1 0.000 0.500 0.500
Mo2 0.500 0.000 0.000


Calculated XRD peak list of CaLaN for λ = 1.5418 Å (Cu Kα), from DFT lattice parameters and positions (GGA-PBE).
Intensities are scaled so that the largest is 100.

Largest 10 diffraction maxima, by angle, 10 to 90 degrees two-theta:
d/Å	I (rel.)
6.466	55
3.233	22
3.159	32
2.838	100
2.259	39
1.824	19
1.780	23
1.588	17
1.534	15
1.174	12

Crystal structure
a b c (Å): 3.648 3.648 6.466
angles (deg): 90.00 90.00 120.00
Positions (direct):
Ca1 0.000 0.000 0.000
La1 0.333 0.667 0.430
N1 0.667 0.333 0.232


Calculated XRD peak list of Ca7LaN3 for λ = 1.5418 Å (Cu Kα), from DFT lattice parameters and positions (GGA-PBE).
Intensities are scaled so that the largest is 100.

Largest 10 diffraction maxima, by angle, 10 to 90 degrees two-theta:
d/Å	I (rel.)
6.355	54
4.494	18
3.178	45
2.841	100
2.247	37
1.834	22
1.763	27
1.588	20
1.541	16
1.421	14

Crystal structure
a b c (Å): 7.333 7.333 6.359
angles (deg): 90.00 90.00 120.00
Positions (direct):
Ca1 0.000 0.000 0.000
Ca2 0.158 0.316 0.428
Ca3 0.158 0.842 0.428
Ca4 0.507 0.014 0.986
Ca5 0.507 0.493 0.986
Ca6 0.684 0.842 0.428
Ca7 0.986 0.493 0.986
La1 0.667 0.333 0.417
N1 0.341 0.171 0.219
N2 0.829 0.171 0.219
N3 0.829 0.659 0.219


Calculated XRD peak list of CaLaN for λ = 1.5418 Å (Cu Kα), from DFT lattice parameters and positions (GGA-PBE).
Intensities are scaled so that the largest is 100.

Largest 10 diffraction maxima, by angle, 10 to 90 degrees two-theta:
d/Å	I (rel.)
6.603	67
3.368	16
3.301	34
3.238	100
2.842	19
2.806	38
2.599	13
2.013	17
1.981	19
1.709	19

Crystal structure
a b c (Å): 6.872 3.946 7.021
angles (deg): 90.00 109.86 90.00
Positions (direct):
Ca1 0.000 0.000 0.000
Ca2 0.500 0.500 0.000
La1 0.489 0.000 0.452
La2 0.989 0.500 0.452
N1 0.120 0.000 0.348
N2 0.620 0.500 0.348


Calculated XRD peak list of CaLa2P2N6 for λ = 1.5418 Å (Cu Kα), from DFT lattice parameters and positions (GGA-PBE).
Intensities are scaled so that the largest is 100.

Largest 10 diffraction maxima, by angle, 10 to 90 degrees two-theta:
d/Å	I (rel.)
6.148	62
4.303	27
2.940	100
2.809	88
2.555	33
2.352	23
2.031	40
1.725	17
1.646	33
1.622	17

Crystal structure
a b c (Å): 6.952 6.952 6.952
angles (deg): 47.67 47.67 47.67
Positions (direct):
Ca1 0.000 0.000 0.000
La1 0.203 0.203 0.203
La2 0.797 0.797 0.797
P1 0.425 0.425 0.425
P2 0.575 0.575 0.575
N1 0.248 0.735 0.735
N2 0.265 0.265 0.752
N3 0.265 0.752 0.265
N4 0.735 0.248 0.735
N5 0.735 0.735 0.248
N6 0.752 0.265 0.265


Calculated XRD peak list of Ca2La4Sb3N2 for λ = 1.5418 Å (Cu Kα), from DFT lattice parameters and positions (GGA-PBE).
Intensities are scaled so that the largest is 100.

Largest 10 diffraction maxima, by angle, 10 to 90 degrees two-theta:
d/Å	I (rel.)
6.456	19
4.867	16
3.576	17
3.382	25
3.080	27
2.718	100
2.478	52
1.788	17
1.752	18
1.473	30

Crystal structure
a b c (Å): 13.378 13.378 13.378
angles (deg): 158.65 158.65 30.37
Positions (direct):
Ca1 0.196 0.196 0.000
Ca2 0.804 0.804 0.000
La1 0.088 0.588 0.500
La2 0.412 0.912 0.500
La3 0.588 0.088 0.500
La4 0.912 0.412 0.500
Sb1 0.321 0.321 0.000
Sb2 0.500 0.500 0.000
Sb3 0.679 0.679 0.000
N1 0.104 0.104 0.000
N2 0.896 0.896 0.000


Calculated XRD peak list of CaLaWN4 for λ = 1.5418 Å (Cu Kα), from DFT lattice parameters and positions (GGA-PBE).
Intensities are scaled so that the largest is 100.

Largest 10 diffraction maxima, by angle, 10 to 90 degrees two-theta:
d/Å	I (rel.)
6.404	42
3.774	28
2.899	100
2.793	56
2.149	18
2.135	13
1.975	26
1.696	21
1.632	38
1.450	15

Crystal structure
a b c (Å): 3.950 3.950 12.808
angles (deg): 90.00 90.00 90.00
Positions (direct):
Ca1 0.000 0.000 0.000
Ca2 0.500 0.500 0.500
La1 0.000 0.000 0.291
La2 0.500 0.500 0.791
W1 0.000 0.000 0.634
W2 0.500 0.500 0.134
N1 0.000 0.000 0.486
N2 0.000 0.000 0.816
N3 0.000 0.500 0.152
N4 0.000 0.500 0.652
N5 0.500 0.000 0.152
N6 0.500 0.000 0.652
N7 0.500 0.500 0.316
N8 0.500 0.500 0.986